(1)
# ScSi2Cl
Simulated powder X-ray diffraction pattern, Cu Kα (λ = 1.5418 Å). Input: a DFT-relaxed cell (GGA-PBE, Alexandria).
Neutral-atom scattering factors, no anomalous dispersion.

Structure:
Unit cell a=3.1591 b=3.1591 c=8.4661 alpha=90.00 beta=90.00 gamma=90.00
Fractional positions:
Sc: 0.0000 0.0000 0.0000
Si: 0.0000 0.0000 0.3686
Si: 0.5000 0.5000 0.2185
Cl: 0.5000 0.5000 0.8146

Top 10 peaks for 10 to 80 degrees two-theta, in order of rising 2θ:
10.4°, rel. 100; 21.0°, rel. 17; 35.5°, rel. 71; 40.4°, rel. 51; 41.8°, rel. 11; 43.0°, rel. 64; 58.4°, rel. 16; 69.7°, rel. 13; 70.2°, rel. 17; 75.2°, rel. 22

=====

(2)
# Ac4PmY2
Simulated powder X-ray diffraction pattern, Cu Kα (λ = 1.5418 Å). Input: a DFT-relaxed cell (GGA-PBE, Alexandria).
Neutral-atom scattering factors, no anomalous dispersion.

Structure:
Unit cell a=6.7654 b=7.2865 c=13.2375 alpha=83.15 beta=75.21 gamma=62.34
Fractional positions:
Ac: 0.0000 0.0000 0.0000
Ac: 0.0000 0.4711 0.0707
Ac: 0.3757 0.2478 0.5000
Ac: 0.4168 0.7476 0.4208
Ac: 0.5404 0.4999 0.9208
Ac: 0.6087 0.9723 0.8498
Ac: 0.8474 0.7769 0.5707
Ac: 0.9570 0.2750 0.3498
Pm: 0.2287 0.8721 0.7105
Pm: 0.4768 0.3756 0.2106
Y: 0.1301 0.4211 0.7755
Y: 0.4462 0.9216 0.1446
Y: 0.7438 0.3263 0.6446
Y: 0.9276 0.8262 0.2755

Top 10 peaks for 10 to 80 degrees two-theta, in order of rising 2θ:
28.6°, rel. 100; 29.8°, rel. 44; 30.2°, rel. 28; 30.6°, rel. 23; 34.8°, rel. 17; 41.4°, rel. 12; 47.9°, rel. 16; 50.8°, rel. 10; 57.3°, rel. 11; 58.6°, rel. 10

=====

(3)
# BeAl2Cu5Au2
Simulated powder X-ray diffraction pattern, Cu Kα (λ = 1.5418 Å). Input: a DFT-relaxed cell (GGA-PBE, Alexandria).
Neutral-atom scattering factors, no anomalous dispersion.

Structure:
Unit cell a=9.0637 b=9.0637 c=3.4264 alpha=90.00 beta=90.00 gamma=90.00
Fractional positions:
Be: 0.0000 0.0000 0.0000
Be: 0.5000 0.5000 0.0000
Al: 0.1403 0.3597 0.0000
Al: 0.3597 0.8597 0.0000
Al: 0.6403 0.1403 0.0000
Al: 0.8597 0.6403 0.0000
Cu: 0.0000 0.5000 0.5000
Cu: 0.0159 0.1905 0.5000
Cu: 0.1905 0.9841 0.5000
Cu: 0.3095 0.4841 0.5000
Cu: 0.4841 0.6905 0.5000
Cu: 0.5000 0.0000 0.5000
Cu: 0.5159 0.3095 0.5000
Cu: 0.6905 0.5159 0.5000
Cu: 0.8095 0.0159 0.5000
Cu: 0.9841 0.8095 0.5000
Au: 0.1655 0.6655 0.0000
Au: 0.3345 0.1655 0.0000
Au: 0.6655 0.8345 0.0000
Au: 0.8345 0.3345 0.0000

Top 10 peaks for 10 to 80 degrees two-theta, in order of rising 2θ:
21.9°, rel. 69; 32.8°, rel. 41; 34.3°, rel. 60; 41.1°, rel. 100; 42.3°, rel. 62; 48.1°, rel. 32; 53.5°, rel. 18; 58.5°, rel. 16; 61.4°, rel. 32; 70.5°, rel. 26

=====

(4)
# K6Si2S6O
Simulated powder X-ray diffraction pattern, Cu Kα (λ = 1.5418 Å). Input: a DFT-relaxed cell (GGA-PBE, Alexandria).
Neutral-atom scattering factors, no anomalous dispersion.

Structure:
Unit cell a=8.9028 b=11.8487 c=8.4472 alpha=90.00 beta=112.53 gamma=90.00
Fractional positions:
K: 0.0078 0.1725 0.0101
K: 0.0078 0.3275 0.5101
K: 0.2200 0.5597 0.2171
K: 0.2200 0.9403 0.7171
K: 0.4619 0.2239 0.7944
K: 0.4619 0.2761 0.2944
K: 0.5381 0.7239 0.7056
K: 0.5381 0.7761 0.2056
K: 0.7800 0.0597 0.2829
K: 0.7800 0.4403 0.7829
K: 0.9922 0.6725 0.4899
K: 0.9922 0.8275 0.9899
Si: 0.3148 0.5106 0.8514
Si: 0.3148 0.9894 0.3514
Si: 0.6852 0.0106 0.6486
Si: 0.6852 0.4894 0.1486
S: 0.1742 0.1160 0.4115
S: 0.1742 0.3840 0.9115
S: 0.2383 0.6787 0.8734
S: 0.2383 0.8213 0.3734
S: 0.3313 0.0199 0.1099
S: 0.3313 0.4801 0.6099
S: 0.6687 0.5199 0.3901
S: 0.6687 0.9801 0.8901
S: 0.7617 0.1787 0.6266
S: 0.7617 0.3213 0.1266
S: 0.8258 0.6160 0.0885
S: 0.8258 0.8840 0.5885
O: 0.5000 0.0000 0.5000
O: 0.5000 0.5000 0.0000

Top 10 peaks for 10 to 80 degrees two-theta, in order of rising 2θ:
14.4°, rel. 37; 26.4°, rel. 64; 28.8°, rel. 35; 29.2°, rel. 31; 30.4°, rel. 100; 31.1°, rel. 64; 32.1°, rel. 38; 32.3°, rel. 35; 32.6°, rel. 43; 32.8°, rel. 90

=====

(5)
# Ba2Tb3TmO8
Simulated powder X-ray diffraction pattern, Cu Kα (λ = 1.5418 Å). Input: a DFT-relaxed cell (GGA-PBE, Alexandria).
Neutral-atom scattering factors, no anomalous dispersion.

Structure:
Unit cell a=7.2406 b=7.2406 c=7.2406 alpha=58.08 beta=58.08 gamma=58.08
Fractional positions:
Ba: 0.0000 0.0000 0.0000
Ba: 0.3796 0.3796 0.3796
Tb: 0.3743 0.3743 0.8864
Tb: 0.3743 0.8864 0.3743
Tb: 0.8864 0.3743 0.3743
Tm: 0.7599 0.7599 0.7599
O: 0.1295 0.1295 0.5677
O: 0.1295 0.5677 0.1295
O: 0.1314 0.6428 0.6428
O: 0.1472 0.1472 0.1472
O: 0.5677 0.1295 0.1295
O: 0.6243 0.6243 0.6243
O: 0.6428 0.1314 0.6428
O: 0.6428 0.6428 0.1314

Top 10 peaks for 10 to 80 degrees two-theta, in order of rising 2θ:
24.6°, rel. 36; 25.3°, rel. 24; 28.8°, rel. 62; 29.5°, rel. 100; 29.8°, rel. 76; 31.0°, rel. 45; 46.9°, rel. 35; 47.3°, rel. 28; 50.5°, rel. 46; 52.0°, rel. 45

=====

(6)
# Mn2CuPt8
Simulated powder X-ray diffraction pattern, Cu Kα (λ = 1.5418 Å). Input: a DFT-relaxed cell (GGA-PBE, Alexandria).
Neutral-atom scattering factors, no anomalous dispersion.

Structure:
Unit cell a=7.1325 b=7.1325 c=7.1325 alpha=147.18 beta=118.30 gamma=71.67
Fractional positions:
Mn: 0.1866 0.1866 0.0000
Mn: 0.8134 0.8134 0.0000
Cu: 0.5000 0.5000 0.0000
Pt: 0.0694 0.3399 0.7295
Pt: 0.1996 0.0000 0.1996
Pt: 0.3508 0.8508 0.5000
Pt: 0.3896 0.6601 0.7295
Pt: 0.6104 0.3399 0.2705
Pt: 0.6492 0.1492 0.5000
Pt: 0.8004 0.0000 0.8004
Pt: 0.9306 0.6601 0.2705

Top 10 peaks for 10 to 80 degrees two-theta, in order of rising 2θ:
24.3°, rel. 9; 32.1°, rel. 14; 37.7°, rel. 13; 40.3°, rel. 13; 40.7°, rel. 100; 45.0°, rel. 22; 47.2°, rel. 16; 49.9°, rel. 10; 67.2°, rel. 11; 69.4°, rel. 8

=====

(7)
# MgAlSn2
Simulated powder X-ray diffraction pattern, Cu Kα (λ = 1.5418 Å). Input: a DFT-relaxed cell (GGA-PBE, Alexandria).
Neutral-atom scattering factors, no anomalous dispersion.

Structure:
Unit cell a=4.4933 b=4.4933 c=17.4708 alpha=90.00 beta=90.00 gamma=120.00
Fractional positions:
Mg: 0.0000 0.0000 0.0000
Mg: 0.3333 0.6667 0.6667
Mg: 0.6667 0.3333 0.3333
Al: 0.0000 0.0000 0.1722
Al: 0.3333 0.6667 0.8389
Al: 0.6667 0.3333 0.5055
Sn: 0.0000 0.0000 0.5806
Sn: 0.0000 0.0000 0.7574
Sn: 0.3333 0.6667 0.2473
Sn: 0.3333 0.6667 0.4240
Sn: 0.6667 0.3333 0.0907
Sn: 0.6667 0.3333 0.9139

Top 10 peaks for 10 to 80 degrees two-theta, in order of rising 2θ:
23.4°, rel. 100; 25.1°, rel. 47; 30.7°, rel. 54; 34.5°, rel. 99; 40.1°, rel. 79; 43.1°, rel. 35; 51.4°, rel. 40; 53.9°, rel. 28; 69.3°, rel. 27; 78.2°, rel. 21

=====

(8)
# BaAlCdSi
Simulated powder X-ray diffraction pattern, Cu Kα (λ = 1.5418 Å). Input: a DFT-relaxed cell (GGA-PBE, Alexandria).
Neutral-atom scattering factors, no anomalous dispersion.

Structure:
Unit cell a=4.2243 b=4.2243 c=12.5905 alpha=90.00 beta=90.00 gamma=90.00
Fractional positions:
Ba: 0.2500 0.2500 0.2406
Ba: 0.7500 0.7500 0.7594
Al: 0.2500 0.7500 0.0000
Al: 0.7500 0.2500 0.0000
Cd: 0.2500 0.7500 0.5000
Cd: 0.7500 0.2500 0.5000
Si: 0.2500 0.2500 0.8829
Si: 0.7500 0.7500 0.1171

Top 10 peaks for 10 to 80 degrees two-theta, in order of rising 2θ:
21.2°, rel. 18; 22.2°, rel. 47; 28.4°, rel. 30; 30.0°, rel. 42; 30.8°, rel. 23; 33.2°, rel. 100; 42.8°, rel. 30; 52.2°, rel. 22; 53.4°, rel. 26; 72.3°, rel. 20

=====

(9)
# Cs6Ga3Cl14
Simulated powder X-ray diffraction pattern, Cu Kα (λ = 1.5418 Å). Input: a DFT-relaxed cell (GGA-PBE, Alexandria).
Neutral-atom scattering factors, no anomalous dispersion.

Structure:
Unit cell a=12.3050 b=12.3050 c=6.9065 alpha=90.00 beta=90.00 gamma=120.00
Fractional positions:
Cs: 0.0156 0.5604 0.0000
Cs: 0.2923 0.0935 0.5414
Cs: 0.4396 0.4552 0.0000
Cs: 0.5448 0.9844 0.0000
Cs: 0.8012 0.7077 0.5414
Cs: 0.9065 0.1988 0.5414
Ga: 0.0000 0.0000 0.9718
Ga: 0.3333 0.6667 0.4416
Ga: 0.6667 0.3333 0.3312
Cl: 0.0000 0.0000 0.3239
Cl: 0.0729 0.8568 0.8524
Cl: 0.1432 0.2161 0.8524
Cl: 0.2098 0.4751 0.3308
Cl: 0.2653 0.7902 0.3308
Cl: 0.3333 0.6667 0.7617
Cl: 0.4821 0.2139 0.1294
Cl: 0.5249 0.7347 0.3308
Cl: 0.5461 0.3998 0.5260
Cl: 0.6002 0.1463 0.5260
Cl: 0.7318 0.5179 0.1294
Cl: 0.7839 0.9271 0.8524
Cl: 0.7861 0.2682 0.1294
Cl: 0.8537 0.4539 0.5260

Top 10 peaks for 10 to 80 degrees two-theta, in order of rising 2θ:
19.3°, rel. 39; 21.1°, rel. 100; 28.3°, rel. 22; 29.0°, rel. 20; 30.2°, rel. 25; 30.9°, rel. 22; 33.0°, rel. 37; 34.2°, rel. 21; 40.1°, rel. 21; 41.0°, rel. 19

=====

(10)
# YMg8Ag4
Simulated powder X-ray diffraction pattern, Cu Kα (λ = 1.5418 Å). Input: a DFT-relaxed cell (GGA-PBE, Alexandria).
Neutral-atom scattering factors, no anomalous dispersion.

Structure:
Unit cell a=7.5020 b=7.5020 c=7.5020 alpha=98.17 beta=98.17 gamma=135.71
Fractional positions:
Y: 0.0000 0.0000 0.0000
Mg: 0.0000 0.3425 0.3425
Mg: 0.0000 0.6575 0.6575
Mg: 0.2869 0.5000 0.7869
Mg: 0.3425 0.0000 0.3425
Mg: 0.5000 0.2869 0.7869
Mg: 0.5000 0.7131 0.2131
Mg: 0.6575 0.0000 0.6575
Mg: 0.7131 0.5000 0.2131
Ag: 0.0000 0.0000 0.5000
Ag: 0.0000 0.5000 0.0000
Ag: 0.5000 0.0000 0.0000
Ag: 0.5000 0.5000 0.5000

Top 10 peaks for 10 to 80 degrees two-theta, in order of rising 2θ:
18.1°, rel. 52; 25.6°, rel. 39; 31.6°, rel. 9; 36.6°, rel. 100; 41.1°, rel. 50; 52.7°, rel. 32; 59.5°, rel. 11; 65.9°, rel. 15; 68.9°, rel. 10; 77.8°, rel. 14

=====

(11)
# Th3Ir7Pd2
Simulated powder X-ray diffraction pattern, Cu Kα (λ = 1.5418 Å). Input: a DFT-relaxed cell (GGA-PBE, Alexandria).
Neutral-atom scattering factors, no anomalous dispersion.

Structure:
Unit cell a=9.4309 b=9.4309 c=9.4309 alpha=33.19 beta=33.19 gamma=33.19
Fractional positions:
Th: 0.0000 0.0000 0.0000
Th: 0.1387 0.1387 0.1387
Th: 0.8613 0.8613 0.8613
Ir: 0.0803 0.5866 0.5866
Ir: 0.4134 0.4134 0.9197
Ir: 0.4134 0.9197 0.4134
Ir: 0.5000 0.5000 0.5000
Ir: 0.5866 0.0803 0.5866
Ir: 0.5866 0.5866 0.0803
Ir: 0.9197 0.4134 0.4134
Pd: 0.3338 0.3338 0.3338
Pd: 0.6662 0.6662 0.6662

Top 10 peaks for 10 to 80 degrees two-theta, in order of rising 2θ:
30.3°, rel. 29; 33.0°, rel. 37; 33.3°, rel. 25; 38.7°, rel. 48; 39.1°, rel. 100; 39.2°, rel. 20; 40.5°, rel. 23; 42.3°, rel. 40; 63.3°, rel. 25; 69.8°, rel. 30

=====

(12)
# Cs3Hg5Au6
Simulated powder X-ray diffraction pattern, Cu Kα (λ = 1.5418 Å). Input: a DFT-relaxed cell (GGA-PBE, Alexandria).
Neutral-atom scattering factors, no anomalous dispersion.

Structure:
Unit cell a=5.0921 b=14.8903 c=11.6568 alpha=90.00 beta=90.00 gamma=90.00
Fractional positions:
Cs: 0.2500 0.0960 0.2501
Cs: 0.2500 0.4040 0.2501
Cs: 0.2500 0.7500 0.2486
Cs: 0.7500 0.2500 0.7514
Cs: 0.7500 0.5960 0.7499
Cs: 0.7500 0.9040 0.7499
Hg: 0.2500 0.0833 0.6407
Hg: 0.2500 0.4167 0.6407
Hg: 0.2500 0.5969 0.9982
Hg: 0.2500 0.7500 0.5906
Hg: 0.2500 0.9031 0.9982
Hg: 0.7500 0.0969 0.0018
Hg: 0.7500 0.2500 0.4094
Hg: 0.7500 0.4031 0.0018
Hg: 0.7500 0.5833 0.3593
Hg: 0.7500 0.9167 0.3593
Au: 0.2500 0.0823 0.8804
Au: 0.2500 0.2500 0.5184
Au: 0.2500 0.2500 0.9847
Au: 0.2500 0.4177 0.8804
Au: 0.2500 0.5648 0.4841
Au: 0.2500 0.9352 0.4841
Au: 0.7500 0.0648 0.5159
Au: 0.7500 0.4352 0.5159
Au: 0.7500 0.5823 0.1196
Au: 0.7500 0.7500 0.0153
Au: 0.7500 0.7500 0.4816
Au: 0.7500 0.9177 0.1196

Top 10 peaks for 10 to 80 degrees two-theta, in order of rising 2θ:
15.2°, rel. 34; 28.9°, rel. 29; 29.2°, rel. 25; 29.4°, rel. 100; 35.3°, rel. 47; 36.2°, rel. 38; 40.0°, rel. 52; 47.0°, rel. 16; 51.4°, rel. 28; 53.8°, rel. 18